LaTb6Er3Th2: calculated powder diffraction line list (copper Kα), based on a DFT-relaxed cell (PBE, Alexandria).
Intensities are scaled so that the largest is 100.

The 10 most intense peaks (2θ from 10° to 90°), by intensity:
hkl  2θ/deg  I/Imax
1 3 1  30.7  100.0
2 0 2  35.6  67.3
0 0 4  30.8  32.8
3 3 3  60.9  28.7
0 6 0  51.1  24.2
1 3 5  51.3  23.9
4 0 0  60.8  14.4
2 0 6  61.1  14.3
2 6 2  63.8  12.5
3 3 7  86.4  11.1

Unit cell a=6.1927 b=10.7156 c=11.7830 alpha=90.00 beta=100.10 gamma=90.00
Space group C2/m (No. 12)
One atom of each set of equivalent atoms:
La  0.0000  0.0000  0.0000 [2 per cell]
Tb  0.2457  0.5000  0.2503 [4 per cell]
Tb  0.2466  0.3308  0.7499 [8 per cell]
Er  0.0000  0.1666  0.5000 [4 per cell]
Er  0.0000  0.5000  0.5000 [2 per cell]
Th  0.0000  0.3333  0.0000 [4 per cell]